Record 1
# K2Rb4Zn2O5
Theoretical X-ray powder pattern, a wavelength of 1.5418 Å. Input: a structure optimized by DFT (GGA-PBE).
Intensities are scaled so that the largest is 100.

Peak list (6 most intense, 2θ from 5° to 70°, by angle)
2theta  intensity
30.08  100
30.31  66
30.47  22
32.80  27
37.07  39
37.52  16

Structure:
```
13
Lattice="3.4262 -5.9470 0.0000 3.4262 5.9470 0.0000 -0.0848 0.0000 6.7918" Properties=species:S:1:pos:R:3 pbc="T T T"
K 3.4262 3.2946 0.0000
K 3.4262 -3.2946 0.0000
Rb 3.3838 3.1532 3.3959
Rb 2.2228 0.0000 5.5416
Rb 4.5448 0.0000 1.2502
Rb 3.3838 -3.1532 3.3959
Zn 1.3679 0.0000 2.0572
Zn 5.3997 0.0000 4.7346
O -0.0424 0.0000 3.3959
O 2.0360 1.6511 1.4318
O 2.0360 -1.6511 1.4318
O 4.7316 1.6511 5.3600
O 4.7316 -1.6511 5.3600
```

Record 2
# K2ReO3
Theoretical X-ray powder pattern, a wavelength of 1.5418 Å. Input: a structure optimized by DFT (GGA-PBE).
Intensities are scaled so that the largest is 100.

Peak list (6 most intense, 2θ from 5° to 70°, by angle)
2theta  intensity
20.15  100
24.53  32
27.87  76
29.41  49
37.46  31
50.27  27

Structure:
```
12
Lattice="6.4030 0.0000 0.0000 -3.2015 5.5452 0.0000 0.0000 0.0000 7.2585" Properties=species:S:1:pos:R:3 pbc="T T T"
K 0.0000 0.0000 0.0000
K 0.0000 0.0000 3.6292
K 0.0000 3.6968 1.7869
K 3.2015 1.8484 5.4716
Re 0.0000 3.6968 5.4315
Re 3.2015 1.8484 1.8270
O -1.7425 4.1336 5.4411
O 0.4930 1.9693 5.4411
O 1.4590 1.4116 1.8173
O 1.2495 4.9875 5.4411
O 4.4510 0.5577 1.8173
O 3.6945 3.5758 1.8173
```

Record 3
# K2SrRe2O7
Theoretical X-ray powder pattern, a wavelength of 1.5418 Å. Input: a structure optimized by DFT (GGA-PBE).
Intensities are scaled so that the largest is 100.

Peak list (6 most intense, 2θ from 5° to 70°, by angle)
2theta  intensity
8.34  76
22.95  43
30.98  100
32.12  53
46.06  29
56.55  37

Structure:
```
12
Lattice="-1.9704 1.9704 10.6030 1.9704 -1.9704 10.6030 1.9704 1.9704 -10.6030" Properties=species:S:1:pos:R:3 pbc="T T T"
K 0.0000 0.0000 4.0639
K 0.0000 0.0000 17.1421
Sr 0.0000 0.0000 0.0000
Re 0.0000 0.0000 8.6063
Re 0.0000 0.0000 12.5996
O 1.9704 0.0000 1.8930
O 0.0000 0.0000 6.7355
O 1.9704 0.0000 8.7100
O 0.0000 0.0000 10.6030
O 0.0000 1.9704 1.8930
O 0.0000 0.0000 14.4704
O 0.0000 1.9704 8.7100
```

Record 4
# K2ZnS2O8
Theoretical X-ray powder pattern, a wavelength of 1.5418 Å. Input: a structure optimized by DFT (GGA-PBE).
Intensities are scaled so that the largest is 100.

Peak list (6 most intense, 2θ from 5° to 70°, by angle)
2theta  intensity
11.62  100
28.67  57
29.10  68
29.66  43
32.11  45
33.84  45

Structure:
```
52
Lattice="5.3003 0.0000 0.0000 0.0000 8.6450 0.0000 -4.7806 0.0000 16.0653" Properties=species:S:1:pos:R:3 pbc="T T T"
K -1.2537 1.2486 4.3506
K -3.6439 3.0739 12.3832
K -3.5180 5.7739 15.6799
K -1.1277 7.1936 7.6473
K 1.6475 1.4514 8.4180
K 4.0378 2.8711 0.3854
K 4.1637 5.5711 3.6821
K 1.7735 7.3965 11.7147
Zn 1.4173 0.2338 2.0772
Zn -0.9730 4.0887 10.1099
Zn 1.4928 4.5563 5.9554
Zn -0.8975 8.4113 13.9881
S -3.4736 0.9953 14.9091
S -1.0833 3.3272 6.8765
S -1.0511 0.9697 10.8569
S 1.3391 3.3528 2.8243
S -0.8193 5.2922 13.2410
S 1.5709 7.6753 5.2084
S 1.6031 5.3178 9.1888
S 3.9934 7.6497 1.1562
O -2.4743 5.4413 10.0648
O -0.0840 7.5262 2.0321
O 0.8644 1.0918 0.2533
O -1.5259 3.2307 8.2859
O -1.6108 0.2192 9.7190
O 0.7794 4.1033 1.6864
O -0.4441 4.6667 6.6094
O -2.8344 8.3008 14.6420
O 0.7507 1.9634 2.8355
O -1.6396 2.3591 10.8681
O -2.2905 5.3628 13.2926
O 0.0998 7.6047 5.2600
O -2.5294 2.0679 14.5797
O -0.1391 2.2546 6.5471
O -1.5224 0.3434 12.1315
O 0.8679 3.9791 4.0988
O -0.3481 4.6659 11.9665
O 2.0422 8.3016 3.9338
O 0.6589 6.3904 9.5182
O 3.0491 6.5771 1.4856
O 0.4200 1.0403 10.8053
O 2.8103 3.2822 2.7727
O 2.1594 6.2860 5.1972
O -0.2309 6.6816 13.2298
O 3.3542 0.3442 1.4233
O 0.9639 3.9783 9.4559
O -0.2596 4.5417 14.3789
O 2.1306 8.4258 6.3463
O 2.0457 5.4143 7.7794
O -0.3446 7.5532 15.8120
O 0.6038 1.1188 14.0332
O 2.9941 3.2037 6.0005
```

Record 5
# K2Zr2Sb2O7
Theoretical X-ray powder pattern, a wavelength of 1.5418 Å. Input: a structure optimized by DFT (GGA-PBE).
Intensities are scaled so that the largest is 100.

Peak list (6 most intense, 2θ from 5° to 70°, by angle)
2theta  intensity
20.42  48
28.62  79
29.45  100
41.53  39
50.19  22
51.73  34

Structure:
```
13
Lattice="6.0666 0.0000 0.0000 -3.0333 5.2538 0.0000 0.0000 0.0000 7.7501" Properties=species:S:1:pos:R:3 pbc="T T T"
K 0.0000 3.5025 0.7733
K 3.0333 1.7513 6.9768
Zr 0.0000 0.0000 1.9389
Zr 0.0000 0.0000 5.8111
Sb 0.0000 3.5025 4.9282
Sb 3.0333 1.7513 2.8219
O 0.0000 0.0000 3.8750
O 0.0000 1.9218 6.2836
O -1.3689 4.2929 6.2836
O 1.6644 0.9609 1.4665
O 1.3689 4.2929 6.2836
O 4.4022 0.9609 1.4665
O 3.0333 3.3320 1.4665
```

Record 6
# KSmSeO
Theoretical X-ray powder pattern, a wavelength of 1.5418 Å. Input: a structure optimized by DFT (GGA-PBE).
Intensities are scaled so that the largest is 100.

Peak list (6 most intense, 2θ from 5° to 70°, by angle)
2theta  intensity
7.84  100
24.49  35
29.00  32
29.29  38
31.35  42
43.34  37

Structure:
```
8
Lattice="2.9538 -2.9514 0.0000 2.9538 2.9514 0.0000 -2.7981 0.0000 11.2759" Properties=species:S:1:pos:R:3 pbc="T T T"
K 0.0990 0.0000 4.4864
K 3.0105 0.0000 6.7895
Sm 1.4890 -1.3650 1.0699
Sm 1.6204 -1.3650 10.2060
Se 0.0437 -0.0036 7.9900
Se 3.0658 -0.0036 3.2859
O 2.9538 0.1238 0.0000
O 2.9538 -2.8293 0.0000
```

Record 7
# K2Zn3Se4O12
Theoretical X-ray powder pattern, a wavelength of 1.5418 Å. Input: a structure optimized by DFT (GGA-PBE).
Intensities are scaled so that the largest is 100.

Peak list (6 most intense, 2θ from 5° to 70°, by angle)
2theta  intensity
13.02  27
15.82  39
27.22  54
28.83  58
29.82  100
32.23  34

Structure:
```
42
Lattice="5.6148 -4.3007 0.0000 5.6148 4.3007 0.0000 -0.8816 0.0000 13.5954" Properties=species:S:1:pos:R:3 pbc="T T T"
K 1.9574 0.0847 6.5514
K 1.5166 -0.0847 13.3491
K 8.8314 0.0847 0.2463
K 8.3906 -0.0847 7.0440
Zn 4.9536 4.2065 10.1965
Zn 4.8000 1.3197 8.1747
Zn 5.1072 1.3197 12.2183
Zn 5.2408 -1.3197 1.3770
Zn 5.5480 -1.3197 5.4206
Zn 5.3944 -4.2065 3.3988
Se 2.6236 2.4195 10.5908
Se 5.0545 1.7046 4.9886
Se 5.7344 1.7046 1.8091
Se 7.2836 2.4195 9.8022
Se 3.0644 -2.4195 3.7932
Se 4.6137 -1.7046 11.7863
Se 5.2935 -1.7046 8.6068
Se 7.7244 -2.4195 3.0045
O 4.7184 3.0745 1.9808
O 3.6875 2.5825 9.2005
O 1.4526 0.5169 2.2059
O 4.1727 2.0206 6.4425
O 1.0118 -0.5169 9.0036
O 6.0705 3.0745 4.8169
O 3.2977 1.0964 11.4906
O 6.2197 2.5825 11.1925
O 4.5673 0.5493 1.2657
O 6.6161 2.0206 0.3552
O 4.1265 -0.5493 8.0634
O 3.7385 -1.0964 4.6929
O 6.6095 1.0964 8.9024
O 6.2215 0.5493 5.5319
O 3.7319 -2.0206 13.2402
O 5.7807 -0.5493 12.3296
O 4.1283 -2.5825 2.4029
O 7.0504 -1.0964 2.1048
O 4.2776 -3.0745 8.7785
O 9.3363 0.5169 4.5918
O 6.1753 -2.0206 7.1529
O 8.8955 -0.5169 11.3895
O 6.6605 -2.5825 4.3948
O 5.6296 -3.0745 11.6146
```

Record 8
# K6TmSi2O8
Theoretical X-ray powder pattern, a wavelength of 1.5418 Å. Input: a structure optimized by DFT (GGA-PBE).
Intensities are scaled so that the largest is 100.

Peak list (6 most intense, 2θ from 5° to 70°, by angle)
2theta  intensity
16.66  100
19.11  63
19.32  62
27.39  60
28.98  53
32.34  80

Structure:
```
17
Lattice="6.2030 0.0000 0.0000 2.4240 6.5178 0.0000 0.5117 1.0958 7.5855" Properties=species:S:1:pos:R:3 pbc="T T T"
K 1.7749 2.3275 1.2413
K 3.1832 4.8392 3.2181
K 4.2989 6.3310 7.3685
K 4.8397 1.2826 0.2171
K 5.9554 2.7744 4.3675
K 7.3637 5.2861 6.3442
Tm 3.3573 0.5479 3.7928
Si 2.7805 2.5989 5.6546
Si 6.3582 5.0147 1.9309
O 1.3908 2.4941 6.5015
O 2.4425 2.4919 3.9910
O 3.6272 3.9451 6.0203
O 5.4019 6.4068 1.7514
O 3.7367 1.2068 5.8341
O 5.5114 3.6685 1.5652
O 6.6961 5.1217 3.5945
O 7.7478 5.1195 1.0840
```